Diffraction record for LaTb4Er10. The powder X-ray diffraction pattern is computed, not measured: it uses a crystal structure in Alexandria, relaxed with PBE and Cu Kα X-rays.
No peak broadening, texture or thermal motion is included.

Structural model:
a = 12.817 Å, b = 12.817 Å, c = 6.468 Å
α = 90.00°, β = 90.00°, γ = 90.00°
Space group I4/m (No. 87)
One atom of each set of equivalent atoms:
La: 0.000 0.000 0.000
Tb: 0.067 0.173 0.500
Er: 0.000 0.500 0.250
Er: 0.129 0.708 0.250

Largest 10 diffraction maxima, in order of rising 2θ, 15° ≤ 2θ ≤ 90°:
2θ 21.93, I 26.8; 2θ 28.65, I 29.9; 2θ 29.32, I 56.3; 2θ 29.57, I 35.1; 2θ 31.21, I 100.0; 2θ 35.51, I 81.0; 2θ 35.72, I 39.3; 2θ 42.13, I 28.6; 2θ 45.71, I 33.4; 2θ 53.35, I 27.7